Diffraction record for Y4S3N2. The powder diffraction line list is computed, not measured: it uses a structure optimized by DFT (PBE) and Cu Kα (weighted mean of Kα1 and Kα2).

Cell and atoms:
Cell lengths 6.656, 11.545, 9.832 Å; angles 90.00, 90.00, 90.00 degrees
Space group Pnma (No. 62)
Asymmetric unit:
Y1 0.120 0.250 0.136 [4 per cell]
Y2 0.176 0.028 0.884 [8 per cell]
Y3 0.221 0.250 0.560 [4 per cell]
S1 0.046 0.592 0.649 [8 per cell]
S2 0.160 0.750 0.326 [4 per cell]
N1 0.055 0.623 0.992 [8 per cell]

Largest 8 diffraction maxima, sorted by position, 5° ≤ 2θ ≤ 70°:
Position (°2θ)  I/Imax  hkl
16.08  15  1 0 1
27.34  100  1 2 2
28.29  16  1 3 1
30.98  24  0 4 0
31.40  26  1 1 3
32.36  37  2 2 1
32.47  41  1 3 2
36.56  17  0 0 4

***

Diffraction record for CrBN2. The powder diffraction line list is computed, not measured: it uses a structure optimized by DFT (PBE) and Cu Kα (weighted mean of Kα1 and Kα2).

Cell and atoms:
Cell lengths 3.1201, 3.1201, 9.5981 Å; angles 90.00, 90.00, 120.00 degrees
Space group P6_3/mmc (No. 194)
Asymmetric unit:
Cr1 0.0000 0.0000 0.0000 [2 per cell]
B1 0.3333 0.6667 0.2500 [2 per cell]
N1 0.3333 0.6667 0.1104 [4 per cell]

Largest 8 diffraction maxima, sorted by position, 5° ≤ 2θ ≤ 70°:
Position (°2θ)  I/Imax  hkl
18.49  92  0 0 2
33.15  32  1 0 0
34.48  22  1 0 1
38.22  100  1 0 2
50.89  49  1 0 4
59.23  27  1 1 0
62.61  17  1 1 2
68.12  20  1 0 6

***

Diffraction record for NaHoO2. The powder diffraction line list is computed, not measured: it uses a structure optimized by DFT (PBE) and Cu Kα (weighted mean of Kα1 and Kα2).

Cell and atoms:
Cell lengths 4.610, 4.610, 10.327 Å; angles 90.00, 90.00, 90.00 degrees
Space group I4_1/amd (No. 141, origin choice 2)
Asymmetric unit:
Na1 0.000 0.250 0.375 [4 per cell]
Ho1 0.000 0.250 0.875 [4 per cell]
O1 0.000 0.250 0.096 [8 per cell]

Largest 8 diffraction maxima, sorted by position, 5° ≤ 2θ ≤ 70°:
Position (°2θ)  I/Imax  hkl
21.11  97  1 0 1
32.48  100  1 1 2
34.75  30  0 0 4
39.08  46  2 0 0
44.83  27  2 1 1
53.28  34  2 0 4
60.89  21  1 1 6
66.67  24  3 1 2